Entry 1:
Calculated powder diffractogram
Compound: CeP3O9
Radiation: a wavelength of 1.5418 Å
Structure: a PBE-relaxed structure

Top 10 peaks for 5° ≤ 2θ ≤ 70°, by intensity:
| 2θ (°) | I/Imax |
| --- | --- |
| 23.90 | 100 |
| 25.66 | 72 |
| 15.60 | 71 |
| 28.48 | 53 |
| 23.67 | 41 |
| 17.51 | 39 |
| 35.38 | 39 |
| 44.95 | 35 |
| 34.08 | 33 |
| 25.79 | 28 |

a = 7.1555 Å, b = 7.1555 Å, c = 7.4452 Å
α = 90.00°, β = 90.00°, γ = 105.05°
Positions (direct):
Ce (0.1288, 0.1288, 0.0000)
Ce (0.8712, 0.8712, 0.5000)
P (0.2513, 0.2513, 0.5000)
P (0.3168, 0.6682, 0.9528)
P (0.3318, 0.6832, 0.5472)
P (0.6682, 0.3168, 0.0472)
P (0.6832, 0.3318, 0.4528)
P (0.7487, 0.7487, 0.0000)
O (0.1369, 0.1730, 0.6674)
O (0.1713, 0.7805, 0.5373)
O (0.1730, 0.1369, 0.3326)
O (0.2195, 0.8287, 0.9627)
O (0.2213, 0.4768, 0.0355)
O (0.2517, 0.4697, 0.4598)
O (0.3728, 0.6272, 0.7500)
O (0.4697, 0.2517, 0.5402)
O (0.4768, 0.2213, 0.9645)
O (0.5232, 0.7787, 0.4645)
O (0.5303, 0.7483, 0.0402)
O (0.6272, 0.3728, 0.2500)
O (0.7483, 0.5303, 0.9598)
O (0.7787, 0.5232, 0.5355)
O (0.7805, 0.1713, 0.4627)
O (0.8270, 0.8631, 0.8326)
O (0.8287, 0.2195, 0.0373)
O (0.8631, 0.8270, 0.1674)

***

Entry 2:
Calculated powder diffractogram
Compound: TlBiS2
Radiation: a wavelength of 1.5418 Å
Structure: a PBE-relaxed structure

Top 10 peaks for 5° ≤ 2θ ≤ 70°, by intensity:
| 2θ (°) | I/Imax |
| --- | --- |
| 25.64 | 100 |
| 30.00 | 66 |
| 42.25 | 50 |
| 29.05 | 35 |
| 50.68 | 34 |
| 52.68 | 27 |
| 42.94 | 25 |
| 49.47 | 20 |
| 67.55 | 16 |
| 68.73 | 11 |

a = 7.4518 Å, b = 7.4518 Å, c = 7.4518 Å
α = 132.88°, β = 132.88°, γ = 68.84°
Positions (direct):
Tl (0.3750, 0.6250, 0.7500)
Tl (0.6250, 0.3750, 0.2500)
Bi (0.1250, 0.8750, 0.2500)
Bi (0.8750, 0.1250, 0.7500)
S (0.1028, 0.3528, 0.7500)
S (0.3528, 0.1028, 0.2500)
S (0.6472, 0.8972, 0.7500)
S (0.8972, 0.6472, 0.2500)

***

Entry 3:
Calculated powder diffractogram
Compound: Zr3Mn2Ni4
Radiation: a wavelength of 1.5418 Å
Structure: a PBE-relaxed structure

Top 10 peaks for 5° ≤ 2θ ≤ 70°, by intensity:
| 2θ (°) | I/Imax |
| --- | --- |
| 42.45 | 100 |
| 42.28 | 60 |
| 35.89 | 45 |
| 42.65 | 37 |
| 36.03 | 35 |
| 42.78 | 34 |
| 44.31 | 30 |
| 36.31 | 18 |
| 44.78 | 17 |
| 44.54 | 16 |

a = 4.9489 Å, b = 4.9874 Å, c = 12.2614 Å
α = 90.00°, β = 90.19°, γ = 119.50°
Positions (direct):
Zr (0.0024, 0.0041, 0.1242)
Zr (0.3308, 0.6698, 0.4572)
Zr (0.3360, 0.6638, 0.2089)
Zr (0.6640, 0.3362, 0.7911)
Zr (0.6692, 0.3302, 0.5428)
Zr (0.9976, 0.9959, 0.8758)
Mn (0.0000, 0.5000, 0.0000)
Mn (0.1676, 0.8331, 0.6660)
Mn (0.5000, 0.5000, 0.0000)
Mn (0.8324, 0.1669, 0.3340)
Ni (0.0000, 0.0000, 0.5000)
Ni (0.1678, 0.3344, 0.6665)
Ni (0.3322, 0.1666, 0.3338)
Ni (0.3328, 0.6671, 0.8338)
Ni (0.5000, 0.0000, 0.0000)
Ni (0.6672, 0.3329, 0.1662)
Ni (0.6678, 0.8334, 0.6662)
Ni (0.8322, 0.6656, 0.3335)

***

Entry 4:
Calculated powder diffractogram
Compound: Ac3Zn
Radiation: a wavelength of 1.5418 Å
Structure: a PBE-relaxed structure

Top 10 peaks for 5° ≤ 2θ ≤ 70°, by intensity:
| 2θ (°) | I/Imax |
| --- | --- |
| 29.30 | 100 |
| 34.83 | 32 |
| 59.09 | 29 |
| 48.12 | 26 |
| 32.14 | 20 |
| 55.56 | 17 |
| 60.77 | 13 |
| 50.09 | 12 |
| 18.98 | 11 |
| 15.91 | 4 |

a = 6.6553 Å, b = 6.6553 Å, c = 6.6553 Å
α = 134.47°, β = 134.47°, γ = 66.36°
Positions (direct):
Ac (0.0000, 0.0000, 0.0000)
Ac (0.2500, 0.7500, 0.5000)
Ac (0.7500, 0.2500, 0.5000)
Zn (0.5000, 0.5000, 0.0000)